Starting from a structure optimized by DFT (PBE), the XRD peak list of NaPt3O4 was simulated for a wavelength of 1.5418 Å.
Neutral-atom scattering factors, no anomalous dispersion.

Largest 10 diffraction maxima, by angle, 15° ≤ 2θ ≤ 90°:
h k l	2θ/deg	d [Å]	I/Imax
1 1 0	21.77	4.082	30
2 0 0	30.98	2.886	5
2 1 0	34.75	2.582	100
2 1 1	38.19	2.357	25
3 1 0	49.96	1.825	7
2 2 2	55.11	1.666	23
3 2 0	57.57	1.601	24
3 2 1	59.96	1.543	13
4 0 0	64.58	1.443	12
4 2 1	75.47	1.260	22

Atomic structure:
Lattice parameters (Å, degrees): 5.7725 5.7725 5.7725 90.00 90.00 90.00
Space group Pm-3n (No. 223)
One atom of each set of equivalent atoms:
Na: 0.0000 0.0000 0.0000 [2 per cell]
Pt: 0.0000 0.2500 0.5000 [6 per cell]
O: 0.2500 0.2500 0.2500 [8 per cell]

---

Starting from a structure optimized by DFT (PBE), the XRD peak list of Na4PtO4 was simulated for a wavelength of 1.5418 Å.
Neutral-atom scattering factors, no anomalous dispersion.

Largest 10 diffraction maxima, by angle, 15° ≤ 2θ ≤ 90°:
h k l	2θ/deg	d [Å]	I/Imax
2 0 0	16.51	5.368	65
2 0 -1	18.52	4.791	46
1 1 0	21.25	4.182	100
1 1 -1	22.96	3.873	39
3 1 -1	32.89	2.723	52
4 0 -1	34.28	2.616	29
1 1 3	34.70	2.585	42
4 0 2	38.61	2.332	37
2 0 -4	39.38	2.288	35
0 2 0	39.70	2.270	39

Atomic structure:
Lattice parameters (Å, degrees): 10.7418 4.5403 9.9704 90.00 91.84 90.00
Space group C2/m (No. 12)
One atom of each set of equivalent atoms:
Na: 0.0725 0.0000 0.1773 [4 per cell]
Na: 0.1277 0.5000 0.9559 [4 per cell]
Na: 0.1466 0.0000 0.4526 [4 per cell]
Na: 0.2422 0.5000 0.2733 [4 per cell]
Pt: 0.0481 0.5000 0.6549 [4 per cell]
O: 0.0435 0.5000 0.1637 [4 per cell]
O: 0.0558 0.0000 0.6581 [4 per cell]
O: 0.1182 0.5000 0.4644 [4 per cell]
O: 0.2183 0.5000 0.7553 [4 per cell]

---

Starting from a structure optimized by DFT (PBE), the XRD peak list of Na4PtO4 was simulated for a wavelength of 1.5418 Å.
Neutral-atom scattering factors, no anomalous dispersion.

Largest 10 diffraction maxima, by angle, 15° ≤ 2θ ≤ 90°:
h k l	2θ/deg	d [Å]	I/Imax
2 0 -1	16.48	5.381	100
2 0 0	18.88	4.700	31
2 0 -2	22.96	3.873	23
1 1 0	28.66	3.115	27
1 1 -1	29.41	3.037	33
4 0 -1	33.31	2.690	31
1 1 1	33.60	2.667	38
3 1 -2	38.49	2.339	60
2 0 2	39.84	2.263	29
3 1 -3	44.55	2.034	22

Atomic structure:
Lattice parameters (Å, degrees): 10.9751 3.3017 7.9772 90.00 121.08 90.00
Space group C2/m (No. 12)
One atom of each set of equivalent atoms:
Na: 0.1311 0.0000 0.3938 [4 per cell]
Na: 0.2069 0.5000 0.8257 [4 per cell]
Pt: 0.0000 0.5000 0.0000 [2 per cell]
O: 0.0682 0.0000 0.9043 [4 per cell]
O: 0.1969 0.5000 0.2686 [4 per cell]

---

Starting from a structure optimized by DFT (PBE), the XRD peak list of Rb2NaO2 was simulated for a wavelength of 1.5418 Å.
Neutral-atom scattering factors, no anomalous dispersion.

Largest 10 diffraction maxima, by angle, 15° ≤ 2θ ≤ 90°:
h k l	2θ/deg	d [Å]	I/Imax
1 0 0	15.90	5.575	100
0 0 3	18.78	4.724	15
1 0 2	20.27	4.382	20
1 1 0	22.55	3.942	44
1 0 3	24.70	3.604	32
1 1 3	29.51	3.027	20
2 0 0	32.11	2.788	17
2 1 0	36.02	2.493	25
2 1 3	40.93	2.205	17
1 0 6	41.52	2.175	13

Atomic structure:
Lattice parameters (Å, degrees): 5.5754 5.5754 14.1727 90.00 90.00 90.00
Space group P4/mmm (No. 123)
One atom of each set of equivalent atoms:
Rb: 0.0000 0.0000 0.1802 [2 per cell]
Na: 0.0000 0.0000 0.5000 [1 per cell]
O: 0.0000 0.0000 0.3462 [2 per cell]

---

Starting from a structure optimized by DFT (PBE), the XRD peak list of Rb3NaRe2O9 was simulated for a wavelength of 1.5418 Å.
Neutral-atom scattering factors, no anomalous dispersion.

Largest 10 diffraction maxima, by angle, 15° ≤ 2θ ≤ 90°:
h k l	2θ/deg	d [Å]	I/Imax
1 0 0	16.37	5.416	30
1 0 1	17.46	5.080	71
1 1 0	28.54	3.127	100
1 0 4	29.46	3.032	49
1 0 5	34.84	2.575	24
1 1 4	37.85	2.377	27
2 0 4	41.49	2.177	32
3 0 0	50.55	1.805	20
2 1 4	51.13	1.786	19
2 2 0	59.08	1.564	19

Atomic structure:
Lattice parameters (Å, degrees): 6.2542 6.2542 14.6333 90.00 90.00 120.00
Space group P6_3/mmc (No. 194)
One atom of each set of equivalent atoms:
Rb: 0.0000 0.0000 0.2500 [2 per cell]
Rb: 0.3333 0.6667 0.1041 [4 per cell]
Na: 0.0000 0.0000 0.0000 [2 per cell]
Re: 0.3333 0.6667 0.6500 [4 per cell]
O: 0.0677 0.5339 0.7500 [6 per cell]
O: 0.1860 0.3719 0.5935 [12 per cell]

---

Starting from a structure optimized by DFT (PBE), the XRD peak list of Rb3NaRu2O8 was simulated for a wavelength of 1.5418 Å.
Neutral-atom scattering factors, no anomalous dispersion.

Largest 10 diffraction maxima, by angle, 15° ≤ 2θ ≤ 90°:
h k l	2θ/deg	d [Å]	I/Imax
1 0 0	16.49	5.376	12
0 1 1	19.85	4.473	25
0 1 2	27.65	3.226	73
1 1 0	28.76	3.104	100
1 0 3	37.40	2.404	15
2 0 2	40.33	2.237	43
1 2 2	50.28	1.815	27
3 0 0	50.96	1.792	19
2 2 0	59.57	1.552	18
3 1 2	66.91	1.398	12

Atomic structure:
Lattice parameters (Å, degrees): 6.2075 6.2075 8.0645 90.00 90.00 120.00
Space group P-3m1 (No. 164)
One atom of each set of equivalent atoms:
Rb: 0.0000 0.0000 0.0000 [1 per cell]
Rb: 0.3333 0.6667 0.6591 [2 per cell]
Na: 0.0000 0.0000 0.5000 [1 per cell]
Ru: 0.3333 0.6667 0.2212 [2 per cell]
O: 0.1780 0.3560 0.3075 [6 per cell]
O: 0.3333 0.6667 0.0015 [2 per cell]